No. 1
For Gd3SbO7, a structure optimized by DFT (GGA-PBE) gives the computed powder XRD pattern in this record (Cu Kα).
Neutral-atom scattering factors, no anomalous dispersion.

a = 7.573 Å, b = 10.729 Å, c = 7.555 Å
α = 90.00°, β = 90.00°, γ = 90.00°
Space group Pnma (No. 62)
Symmetry-distinct sites (fractional):
1 Gd 0.005 0.250 0.227 (multiplicity 4)
2 Gd 0.247 0.020 0.534 (multiplicity 8)
3 Sb 0.002 0.750 0.248 (multiplicity 4)
4 O 0.033 0.124 0.947 (multiplicity 8)
5 O 0.036 0.618 0.429 (multiplicity 8)
6 O 0.248 0.250 0.663 (multiplicity 4)
7 O 0.249 0.617 0.768 (multiplicity 8)

Principal peaks in the range 15° ≤ 2θ ≤ 90°, by angle:
2theta, I_rel
28.88, 100.0
33.41, 12.0
33.51, 24.0
48.05, 35.5
56.96, 11.3
57.09, 24.3
77.72, 10.6
80.20, 5.2

=====

No. 2
For Mg2CO5, a structure optimized by DFT (GGA-PBE) gives the computed powder XRD pattern in this record (Cu Kα).
Neutral-atom scattering factors, no anomalous dispersion.

a = 3.247 Å, b = 8.909 Å, c = 12.771 Å
α = 90.00°, β = 96.68°, γ = 90.00°
Space group P2_1/c (No. 14)
Symmetry-distinct sites (fractional):
1 Mg 0.013 0.006 0.292 (multiplicity 4)
2 Mg 0.416 0.717 0.582 (multiplicity 4)
3 C 0.469 0.727 0.344 (multiplicity 4)
4 O 0.053 0.103 0.851 (multiplicity 4)
5 O 0.086 0.145 0.419 (multiplicity 4)
6 O 0.355 0.659 0.424 (multiplicity 4)
7 O 0.464 0.130 0.654 (multiplicity 4)
8 O 0.498 0.652 0.257 (multiplicity 4)

Principal peaks in the range 15° ≤ 2θ ≤ 90°, by angle:
2theta, I_rel
19.93, 24.6
24.42, 52.4
29.91, 32.3
34.14, 34.2
34.33, 100.0
40.94, 40.8
42.72, 26.0
56.26, 32.9

=====

No. 3
For CsCuRhF6, a structure optimized by DFT (GGA-PBE) gives the computed powder XRD pattern in this record (Cu Kα).
Neutral-atom scattering factors, no anomalous dispersion.

a = 7.396 Å, b = 7.476 Å, c = 10.747 Å
α = 90.00°, β = 90.00°, γ = 90.00°
Space group Imma (No. 74)
Symmetry-distinct sites (fractional):
1 Cs 0.000 0.250 0.119 (multiplicity 4)
2 Cu 0.250 0.250 0.750 (multiplicity 4)
3 Rh 0.000 0.000 0.500 (multiplicity 4)
4 F 0.000 0.250 0.425 (multiplicity 4)
5 F 0.000 0.250 0.813 (multiplicity 4)
6 F 0.199 0.046 0.622 (multiplicity 16)

Principal peaks in the range 15° ≤ 2θ ≤ 90°, by angle:
2theta, I_rel
23.67, 39.3
27.64, 84.2
28.00, 100.0
28.17, 59.7
29.10, 30.7
29.32, 34.1
44.63, 28.4
48.44, 64.5

=====

No. 4
For Pa, a structure optimized by DFT (GGA-PBE) gives the computed powder XRD pattern in this record (Cu Kα).
Neutral-atom scattering factors, no anomalous dispersion.

a = 3.915 Å, b = 3.915 Å, c = 3.179 Å
α = 90.00°, β = 90.00°, γ = 90.00°
Space group I4/mmm (No. 139)
Symmetry-distinct sites (fractional):
1 Pa 0.000 0.000 0.000 (multiplicity 2)

Principal peaks in the range 15° ≤ 2θ ≤ 90°, by angle:
2theta, I_rel
32.34, 68.2
36.40, 100.0
46.38, 25.7
60.35, 47.8
68.00, 16.9
77.02, 12.0
77.32, 11.9
79.36, 11.1

=====

No. 5
For Tm2CdPd2, a structure optimized by DFT (GGA-PBE) gives the computed powder XRD pattern in this record (Cu Kα).
Neutral-atom scattering factors, no anomalous dispersion.

a = 7.668 Å, b = 7.668 Å, c = 3.688 Å
α = 90.00°, β = 90.00°, γ = 90.00°
Space group P4/mbm (No. 127)
Symmetry-distinct sites (fractional):
1 Tm 0.172 0.328 0.000 (multiplicity 4)
2 Cd 0.000 0.000 0.500 (multiplicity 2)
3 Pd 0.129 0.629 0.500 (multiplicity 4)

Principal peaks in the range 15° ≤ 2θ ≤ 90°, by angle:
2theta, I_rel
33.72, 30.9
35.75, 100.0
37.07, 41.3
49.43, 16.6
55.32, 15.8
63.36, 16.8
67.22, 11.8
70.94, 14.2

=====

No. 6
For LaY, a structure optimized by DFT (GGA-PBE) gives the computed powder XRD pattern in this record (Cu Kα).
Neutral-atom scattering factors, no anomalous dispersion.

a = 3.6761 Å, b = 3.6761 Å, c = 11.9126 Å
α = 90.00°, β = 90.00°, γ = 120.00°
Space group P6_3/mmc (No. 194)
Symmetry-distinct sites (fractional):
1 La 0.3333 0.6667 0.2500 (multiplicity 2)
2 Y 0.0000 0.0000 0.0000 (multiplicity 2)

Principal peaks in the range 15° ≤ 2θ ≤ 90°, by angle:
2theta, I_rel
29.03, 70.5
30.00, 40.0
31.87, 100.0
36.16, 39.3
47.68, 17.9
49.60, 29.1
54.47, 21.3
59.06, 34.2

=====

No. 7
For CaAlH5, a structure optimized by DFT (GGA-PBE) gives the computed powder XRD pattern in this record (Cu Kα).
Neutral-atom scattering factors, no anomalous dispersion.

a = 4.562 Å, b = 4.759 Å, c = 12.302 Å
α = 90.00°, β = 90.00°, γ = 90.00°
Space group P2_12_12_1 (No. 19)
Symmetry-distinct sites (fractional):
1 Ca 0.214 0.199 0.352 (multiplicity 4)
2 Al 0.248 0.819 0.592 (multiplicity 4)
3 H 0.062 0.699 0.323 (multiplicity 4)
4 H 0.076 0.372 0.985 (multiplicity 4)
5 H 0.082 0.993 0.695 (multiplicity 4)
6 H 0.120 0.886 0.031 (multiplicity 4)
7 H 0.165 0.496 0.638 (multiplicity 4)

Principal peaks in the range 15° ≤ 2θ ≤ 90°, by angle:
2theta, I_rel
27.08, 16.1
28.05, 100.0
28.74, 25.0
29.03, 32.4
34.94, 38.3
35.19, 24.4
39.51, 19.2
55.79, 16.6

=====

No. 8
For GaNi2Ge3, a structure optimized by DFT (GGA-PBE) gives the computed powder XRD pattern in this record (Cu Kα).
Neutral-atom scattering factors, no anomalous dispersion.

a = 5.744 Å, b = 10.877 Å, c = 5.740 Å
α = 90.00°, β = 90.00°, γ = 90.00°
Space group C222_1 (No. 20)
Symmetry-distinct sites (fractional):
1 Ga 0.250 0.000 0.000 (multiplicity 4)
2 Ni 0.000 0.134 0.250 (multiplicity 4)
3 Ni 0.000 0.366 0.250 (multiplicity 4)
4 Ge 0.157 0.250 0.593 (multiplicity 8)
5 Ge 0.250 0.000 0.500 (multiplicity 4)

Principal peaks in the range 15° ≤ 2θ ≤ 90°, by angle:
2theta, I_rel
33.13, 33.6
35.35, 21.3
35.94, 24.4
38.77, 19.9
44.64, 44.5
45.97, 100.0
47.41, 20.9
50.99, 41.7

=====

No. 9
For FeSiMo, a structure optimized by DFT (GGA-PBE) gives the computed powder XRD pattern in this record (Cu Kα).
Neutral-atom scattering factors, no anomalous dispersion.

a = 7.496 Å, b = 4.812 Å, c = 8.308 Å
α = 90.00°, β = 90.00°, γ = 90.00°
Space group Amm2 (No. 38)
Symmetry-distinct sites (fractional):
1 Fe 0.000 0.244 0.000 (multiplicity 4)
2 Fe 0.257 0.000 0.411 (multiplicity 4)
3 Si 0.000 0.000 0.246 (multiplicity 2)
4 Si 0.500 0.000 0.579 (multiplicity 2)
5 Si 0.500 0.248 0.827 (multiplicity 4)
6 Mo 0.191 0.000 0.745 (multiplicity 4)
7 Mo 0.321 0.000 0.078 (multiplicity 4)

Principal peaks in the range 15° ≤ 2θ ≤ 90°, by angle:
2theta, I_rel
37.45, 75.2
42.19, 85.3
44.81, 100.0
45.20, 35.2
45.31, 16.3
70.77, 23.1
78.67, 21.5
79.94, 14.8

=====

No. 10
For CsRb2GaI6, a structure optimized by DFT (GGA-PBE) gives the computed powder XRD pattern in this record (Cu Kα).
Neutral-atom scattering factors, no anomalous dispersion.

a = 12.815 Å, b = 12.815 Å, c = 12.815 Å
α = 90.00°, β = 90.00°, γ = 90.00°
Space group Fm-3m (No. 225)
Symmetry-distinct sites (fractional):
1 Cs 0.000 0.000 0.000 (multiplicity 4)
2 Rb 0.250 0.250 0.250 (multiplicity 8)
3 Ga 0.000 0.000 0.500 (multiplicity 4)
4 I 0.000 0.000 0.280 (multiplicity 24)

Principal peaks in the range 15° ≤ 2θ ≤ 90°, by angle:
2theta, I_rel
24.06, 77.0
27.85, 100.0
30.40, 22.2
36.43, 22.7
39.79, 66.0
47.04, 24.0
49.27, 20.3
65.11, 20.8